Diffraction record for LiCo3O4. The powder diffraction line list is computed, not measured: it uses a DFT-relaxed cell (GGA+U, Alexandria) and Cu Kα X-rays.
Kinematic intensities with the Lorentz-polarization factor, no thermal factor.

Structure:
```
LiCo3O4
1.0
3.0242 -4.1640 0.0000
3.0242 4.1640 0.0000
0.0000 0.0000 3.0360
Li Co O
1 3 4
Direct
0.0000 0.0000 0.0000 Li
0.0000 0.5000 0.5000 Co
0.5000 0.0000 0.5000 Co
0.5000 0.5000 0.0000 Co
0.2616 0.7384 0.0000 O
0.2644 0.2644 0.5000 O
0.7356 0.7356 0.5000 O
0.7384 0.2616 0.0000 O
```

Main lines, sorted by position (2θ from 10° to 90°):
2θ (°)	I (rel.)
18.13	56
21.34	15
34.77	17
36.68	74
42.18	100
43.47	45
61.04	14
61.31	14
62.17	53
77.88	13